(1)
Theoretical powder XRD pattern of Na2VOsCl for Cu Kα (λ = 1.5418 Å), from a structure optimized by DFT (GGA-PBE).
Neutral-atom scattering factors, no anomalous dispersion.

Main lines, by intensity (2θ = 10–80°):
hkl 1 1 1, 33.69 deg, intensity 100; hkl 1 0 1, 27.27 deg, intensity 81; hkl 1 1 0, 27.58 deg, intensity 68; hkl 2 0 0, 39.39 deg, intensity 53; hkl 0 0 1, 18.98 deg, intensity 36; hkl 2 0 2, 56.26 deg, intensity 36; hkl 2 1 1, 48.57 deg, intensity 34; hkl 1 1 2, 48.01 deg, intensity 29; hkl 0 0 2, 38.50 deg, intensity 28; hkl 1 0 0, 19.40 deg, intensity 27; hkl 3 1 1, 67.81 deg, intensity 26; hkl 2 0 1, 44.07 deg, intensity 18

Structural model:
```
data_Na2VOsCl
_chemical_formula_sum 'Na2 V1 Os1 Cl1'
_symmetry_space_group_name_H-M 'P 4/m m m'
_symmetry_Int_Tables_number 123
_symmetry_space_group_name_Hall '-P 4 2'
_cell_length_a 4.5746
_cell_length_b 4.5746
_cell_length_c 4.6767
_cell_angle_alpha 90.00
_cell_angle_beta 90.00
_cell_angle_gamma 90.00
loop_
_atom_site_label
_atom_site_type_symbol
_atom_site_fract_x
_atom_site_fract_y
_atom_site_fract_z
Na1 Na 0.0000 0.5000 0.0000
V1 V 0.0000 0.0000 0.5000
Os1 Os 0.5000 0.5000 0.5000
Cl1 Cl 0.0000 0.0000 0.0000
```

(2)
Theoretical powder XRD pattern of NaPCl4 for Cu Kα (λ = 1.5418 Å), from a structure optimized by DFT (GGA-PBE).
Neutral-atom scattering factors, no anomalous dispersion.

Main lines, by intensity (2θ = 10–80°):
hkl 1 0 1, 16.24 deg, intensity 100; hkl 1 1 2, 27.64 deg, intensity 97; hkl 2 1 1, 29.62 deg, intensity 50; hkl 2 2 0, 35.08 deg, intensity 25; hkl 3 2 1, 46.55 deg, intensity 22; hkl 3 1 2, 45.23 deg, intensity 20; hkl 2 0 4, 50.63 deg, intensity 19; hkl 3 0 3, 50.13 deg, intensity 19; hkl 1 2 3, 42.95 deg, intensity 18; hkl 1 4 1, 53.35 deg, intensity 18; hkl 2 0 0, 24.61 deg, intensity 11; hkl 1 2 5, 62.80 deg, intensity 8

Structural model:
```
data_NaPCl4
_chemical_formula_sum 'Na2 P2 Cl8'
_symmetry_space_group_name_H-M 'I -4'
_symmetry_Int_Tables_number 82
_cell_length_a 7.2358
_cell_length_b 7.2358
_cell_length_c 8.3187
_cell_angle_alpha 90.00
_cell_angle_beta 90.00
_cell_angle_gamma 90.00
loop_
_symmetry_equiv_pos_as_xyz
'x,y,z'
'y,-x,-z'
'-x,-y,z'
'-y,x,-z'
'x+1/2,y+1/2,z+1/2'
'y+1/2,-x+1/2,-z+1/2'
'-x+1/2,-y+1/2,z+1/2'
'-y+1/2,x+1/2,-z+1/2'
loop_
_atom_site_label
_atom_site_type_symbol
_atom_site_fract_x
_atom_site_fract_y
_atom_site_fract_z
Na1 Na 0.0000 0.0000 0.0000
P1 P 0.0000 0.5000 0.2500
Cl1 Cl 0.1917 0.6927 0.1065
```

(3)
Theoretical powder XRD pattern of Na2PbCl6 for Cu Kα (λ = 1.5418 Å), from a structure optimized by DFT (GGA-PBE).
Neutral-atom scattering factors, no anomalous dispersion.

Main lines, by intensity (2θ = 10–80°):
hkl 1 0 1, 15.42 deg, intensity 100; hkl 1 1 0, 19.33 deg, intensity 62; hkl 2 1 3, 37.93 deg, intensity 55; hkl 0 0 2, 14.35 deg, intensity 31; hkl 1 1 2, 24.16 deg, intensity 29; hkl 2 1 1, 31.66 deg, intensity 28; hkl 1 0 3, 25.64 deg, intensity 28; hkl 3 0 3, 47.47 deg, intensity 26; hkl 1 1 3, 29.15 deg, intensity 23; hkl 1 1 6, 48.45 deg, intensity 22; hkl 2 2 0, 39.25 deg, intensity 20; hkl 0 0 6, 44.06 deg, intensity 17

Structural model:
```
data_Na2PbCl6
_chemical_formula_sum 'Na4 Pb2 Cl12'
_symmetry_space_group_name_H-M 'P 42/m n m'
_symmetry_Int_Tables_number 136
_symmetry_space_group_name_Hall '-P 4n 2n'
_cell_length_a 6.4927
_cell_length_b 6.4927
_cell_length_c 12.3412
_cell_angle_alpha 90.00
_cell_angle_beta 90.00
_cell_angle_gamma 90.00
loop_
_atom_site_label
_atom_site_type_symbol
_atom_site_fract_x
_atom_site_fract_y
_atom_site_fract_z
Na1 Na 0.0000 0.0000 0.1657
Pb1 Pb 0.0000 0.0000 0.5000
Cl1 Cl 0.1898 0.1898 0.3462
Cl2 Cl 0.2178 0.2178 0.0000
```

(4)
Theoretical powder XRD pattern of Na2Pb5Cl12 for Cu Kα (λ = 1.5418 Å), from a structure optimized by DFT (GGA-PBE).
Neutral-atom scattering factors, no anomalous dispersion.

Main lines, by intensity (2θ = 10–80°):
hkl 3 1 0, 20.72 deg, intensity 100; hkl 1 1 -2, 22.07 deg, intensity 88; hkl 4 2 -2, 34.77 deg, intensity 64; hkl 0 2 0, 23.25 deg, intensity 26; hkl 6 0 0, 34.67 deg, intensity 25; hkl 2 0 -4, 38.00 deg, intensity 24; hkl 1 3 -2, 40.15 deg, intensity 21; hkl 3 3 0, 39.38 deg, intensity 17; hkl 4 2 2, 42.14 deg, intensity 17; hkl 2 0 0, 11.40 deg, intensity 16; hkl 5 1 -4, 43.60 deg, intensity 16; hkl 2 2 -2, 30.58 deg, intensity 15

Structural model:
```
data_Na2Pb5Cl12
_chemical_formula_sum 'Na4 Pb10 Cl24'
_symmetry_space_group_name_H-M 'C 1 2/m 1'
_symmetry_Int_Tables_number 12
_cell_length_a 16.2501
_cell_length_b 7.6529
_cell_length_c 9.4716
_cell_angle_alpha 90.00
_cell_angle_beta 107.22
_cell_angle_gamma 90.00
loop_
_symmetry_equiv_pos_as_xyz
'x,y,z'
'-x,-y,-z'
'-x,y,-z'
'x,-y,z'
'x+1/2,y+1/2,z'
'-x+1/2,-y+1/2,-z'
'-x+1/2,y+1/2,-z'
'x+1/2,-y+1/2,z'
loop_
_atom_site_label
_atom_site_type_symbol
_atom_site_fract_x
_atom_site_fract_y
_atom_site_fract_z
Na1 Na 0.0000 0.2365 0.0000
Pb1 Pb 0.0000 0.0000 0.5000
Pb2 Pb 0.1810 0.5000 0.8405
Pb3 Pb 0.1892 0.5000 0.3463
Cl1 Cl 0.0030 0.5000 0.2130
Cl2 Cl 0.0176 0.0000 0.8010
Cl3 Cl 0.1505 0.2528 0.5675
Cl4 Cl 0.1771 0.2684 0.0975
```

(5)
Theoretical powder XRD pattern of Na2PbCl4 for Cu Kα (λ = 1.5418 Å), from a structure optimized by DFT (GGA-PBE).
Neutral-atom scattering factors, no anomalous dispersion.

Main lines, by intensity (2θ = 10–80°):
hkl 0 0 4, 30.01 deg, intensity 100; hkl 2 2 4, 42.95 deg, intensity 91; hkl 1 0 1, 12.87 deg, intensity 91; hkl 2 1 1, 24.79 deg, intensity 90; hkl 1 1 1, 16.65 deg, intensity 68; hkl 1 0 5, 39.30 deg, intensity 43; hkl 1 0 2, 18.23 deg, intensity 36; hkl 1 0 0, 10.51 deg, intensity 33; hkl 4 1 1, 45.03 deg, intensity 26; hkl 1 1 3, 26.97 deg, intensity 25; hkl 4 0 8, 78.71 deg, intensity 25; hkl 3 1 3, 40.78 deg, intensity 24

Structural model:
```
data_Na2PbCl4
_chemical_formula_sum 'Na8 Pb4 Cl16'
_symmetry_space_group_name_H-M 'P 41 2 2'
_symmetry_Int_Tables_number 91
_cell_length_a 8.4173
_cell_length_b 8.4173
_cell_length_c 11.9271
_cell_angle_alpha 90.00
_cell_angle_beta 90.00
_cell_angle_gamma 90.00
loop_
_symmetry_equiv_pos_as_xyz
'x,y,z'
'-y,x,z+1/4'
'-x,-y,z+1/2'
'y,-x,z+3/4'
'x,-y,-z+1/2'
'-y,-x,-z+1/4'
'-x,y,-z'
'y,x,-z+3/4'
loop_
_atom_site_label
_atom_site_type_symbol
_atom_site_fract_x
_atom_site_fract_y
_atom_site_fract_z
Na1 Na 0.0000 0.2362 0.0000
Na2 Na 0.2494 0.2494 0.3750
Pb1 Pb 0.2324 0.5000 0.7500
Cl1 Cl 0.0091 0.2478 0.7612
Cl2 Cl 0.2424 0.4806 0.9954
```

(6)
Theoretical powder XRD pattern of Na2SbPbCl8 for Cu Kα (λ = 1.5418 Å), from a structure optimized by DFT (GGA-PBE).
Neutral-atom scattering factors, no anomalous dispersion.

Main lines, by intensity (2θ = 10–80°):
hkl 1 2 -1, 27.99 deg, intensity 100; hkl 1 0 -1, 18.61 deg, intensity 89; hkl 0 0 1, 13.46 deg, intensity 86; hkl 1 0 0, 13.73 deg, intensity 85; hkl 1 0 1, 19.93 deg, intensity 69; hkl 0 2 3, 46.50 deg, intensity 56; hkl 1 2 0, 24.94 deg, intensity 51; hkl 2 2 -1, 36.77 deg, intensity 49; hkl 1 0 2, 31.36 deg, intensity 40; hkl 2 2 1, 38.20 deg, intensity 37; hkl 0 2 0, 20.72 deg, intensity 33; hkl 1 2 -2, 36.44 deg, intensity 32

Structural model:
```
data_Na2SbPbCl8
_chemical_formula_sum 'Na2 Sb1 Pb1 Cl8'
_symmetry_space_group_name_H-M 'P 1 2/m 1'
_symmetry_Int_Tables_number 10
_cell_length_a 6.4622
_cell_length_b 8.5743
_cell_length_c 6.5922
_cell_angle_alpha 90.00
_cell_angle_beta 93.89
_cell_angle_gamma 90.00
loop_
_symmetry_equiv_pos_as_xyz
'x,y,z'
'-x,-y,-z'
'-x,y,-z'
'x,-y,z'
loop_
_atom_site_label
_atom_site_type_symbol
_atom_site_fract_x
_atom_site_fract_y
_atom_site_fract_z
Na1 Na 0.0000 0.2465 0.0000
Sb1 Sb 0.5000 0.5000 0.5000
Pb1 Pb 0.5000 0.0000 0.5000
Cl1 Cl 0.2169 0.0000 0.1647
Cl2 Cl 0.2360 0.5000 0.1928
Cl3 Cl 0.2926 0.2823 0.6635
```